Entry 1:
K3LaBi2Te6: calculated powder X-ray diffraction pattern (copper Kα), based on DFT lattice parameters and positions (GGA-PBE).
Lines closer than 0.1° are merged.

Most intense lines, 10 to 90 degrees two-theta, in order of falling intensity:
h k l  d/Å  I_rel
1 3 1  3.372  100
0 0 1  8.292  47
0 6 0  2.317  38
2 0 2  2.458  36
4 0 0  1.910  20
1 3 2  2.661  19
4 6 0  1.474  17
3 3 3  1.545  13
0 6 1  2.232  12
2 0 3  1.970  12

a b c (Å): 8.0251 13.9043 8.7133
angles (deg): 90.00 107.90 90.00
Space group C2/m (No. 12)
One atom of each set of equivalent atoms:
K 0.0000 0.0000 0.0000 (multiplicity 2)
K 0.0000 0.3330 0.0000 (multiplicity 4)
La 0.0000 0.5000 0.5000 (multiplicity 2)
Bi 0.0000 0.1667 0.5000 (multiplicity 4)
Te 0.2310 0.0000 0.7134 (multiplicity 4)
Te 0.2411 0.3298 0.7129 (multiplicity 8)


Entry 2:
K5LiBi2: calculated powder X-ray diffraction pattern (copper Kα), based on DFT lattice parameters and positions (GGA-PBE).
Lines closer than 0.1° are merged.

Most intense lines, 10 to 90 degrees two-theta, in order of falling intensity:
h k l  d/Å  I_rel
1 1 0  3.100  100
1 1 4  2.669  74
1 0 5  3.312  67
1 0 1  5.202  63
1 0 3  4.263  62
0 0 4  5.259  53
1 1 8  2.004  45
0 0 8  2.624  42
1 0 0  5.369  33
2 1 5  1.828  24

a b c (Å): 6.1997 6.1997 21.0375
angles (deg): 90.00 90.00 120.00
Space group P6_3/mmc (No. 194)
One atom of each set of equivalent atoms:
K 0.0000 0.0000 0.1370 (multiplicity 4)
K 0.3333 0.6667 0.0512 (multiplicity 4)
K 0.3333 0.6667 0.2500 (multiplicity 2)
Li 0.3333 0.6667 0.7500 (multiplicity 2)
Bi 0.3333 0.6667 0.6221 (multiplicity 4)


Entry 3:
K2LiBi2: calculated powder X-ray diffraction pattern (copper Kα), based on DFT lattice parameters and positions (GGA-PBE).
Lines closer than 0.1° are merged.

Most intense lines, 10 to 90 degrees two-theta, in order of falling intensity:
h k l  d/Å  I_rel
2 1 1  3.000  100
0 0 1  5.828  46
2 1 0  3.500  32
1 1 0  5.533  25
2 1 2  2.239  21
0 0 2  2.914  21
2 1 3  1.698  19
3 1 0  2.475  16
5 2 1  1.410  16
3 1 2  1.886  15

a b c (Å): 7.8252 7.8252 5.8276
angles (deg): 90.00 90.00 90.00
Space group P4/mbm (No. 127)
One atom of each set of equivalent atoms:
K 0.1649 0.3351 0.0000 (multiplicity 4)
Li 0.0000 0.0000 0.5000 (multiplicity 2)
Bi 0.1407 0.6407 0.5000 (multiplicity 4)


Entry 4:
KLi2Bi2O6: calculated powder X-ray diffraction pattern (copper Kα), based on DFT lattice parameters and positions (GGA-PBE).
Lines closer than 0.1° are merged.

Most intense lines, 10 to 90 degrees two-theta, in order of falling intensity:
h k l  d/Å  I_rel
1 0 0  5.253  100
1 1 -1  2.573  28
0 1 -1  3.091  25
0 2 1  2.826  25
1 1 2  2.993  24
2 1 2  2.444  21
1 2 1  2.903  19
0 1 1  4.729  17
1 0 1  4.340  17
0 1 0  5.210  16

a b c (Å): 5.7413 5.9621 6.0653
angles (deg): 62.10 67.72 72.58
Space group P-1 (No. 2)
One atom of each set of equivalent atoms:
K 0.0000 0.0000 0.0000 (multiplicity 1)
Li 0.4964 0.6526 0.2720 (multiplicity 2)
Bi 0.0396 0.3242 0.3199 (multiplicity 2)
O 0.2206 0.9392 0.3315 (multiplicity 2)
O 0.2379 0.5527 0.9185 (multiplicity 2)
O 0.2399 0.3929 0.5320 (multiplicity 2)


Entry 5:
KLi6BiO6: calculated powder X-ray diffraction pattern (copper Kα), based on DFT lattice parameters and positions (GGA-PBE).
Lines closer than 0.1° are merged.

Most intense lines, 10 to 90 degrees two-theta, in order of falling intensity:
h k l  d/Å  I_rel
1 1 0  6.278  100
0 0 1  6.197  35
1 1 -1  5.037  32
2 0 0  4.767  19
2 2 -1  3.108  16
1 1 2  2.550  14
2 2 -2  2.518  13
2 2 0  3.139  11
1 1 -2  3.078  11
0 2 0  4.171  11

a b c (Å): 10.1954 8.3425 6.6263
angles (deg): 90.00 110.75 90.00
Space group C2/m (No. 12)
One atom of each set of equivalent atoms:
K 0.0000 0.0000 0.0000 (multiplicity 2)
Li 0.0000 0.3227 0.5000 (multiplicity 4)
Li 0.2376 0.3226 0.3310 (multiplicity 8)
Bi 0.0000 0.0000 0.5000 (multiplicity 2)
O 0.1007 0.1983 0.3863 (multiplicity 8)
O 0.1862 0.0000 0.7750 (multiplicity 4)


Entry 6:
KLiBiS2: calculated powder X-ray diffraction pattern (copper Kα), based on DFT lattice parameters and positions (GGA-PBE).
Lines closer than 0.1° are merged.

Most intense lines, 10 to 90 degrees two-theta, in order of falling intensity:
h k l  d/Å  I_rel
0 0 1  7.526  100
0 1 1  3.489  73
1 1 -1  2.714  44
0 1 0  3.937  42
1 1 1  2.704  39
1 0 -2  2.842  34
1 0 2  2.820  33
1 0 0  4.298  29
0 0 2  3.763  24
1 1 -3  1.903  23

a b c (Å): 4.2977 3.9371 7.5258
angles (deg): 90.00 90.45 90.00
Space group P2/m (No. 10)
One atom of each set of equivalent atoms:
K 0.0000 0.0000 0.0000 (multiplicity 1)
Li 0.5000 0.0000 0.5000 (multiplicity 1)
Bi 0.0000 0.5000 0.5000 (multiplicity 1)
S 0.4968 0.5000 0.2574 (multiplicity 2)